Entry 1:
Diffraction record for NbTl3Se3S. The PXRD pattern is computed, not measured: it uses a GGA-PBE-relaxed structure and Cu Ka.

Cell lengths 11.2908, 11.2908, 6.8713 Å; angles 90.00, 90.00, 120.00 degrees
Space group R3m (No. 160, hexagonal axes)
Symmetry-distinct sites (fractional):
Nb  0.0000  0.0000  0.0000 [3 per cell]
Tl  0.1690  0.3380  0.3280 [9 per cell]
Se  0.2161  0.4322  0.7840 [9 per cell]
S  0.0000  0.0000  0.6693 [3 per cell]

The 10 most intense peaks (15° ≤ 2θ ≤ 90°), in order of rising 2θ:
| Position (°2θ) | I/Imax | index |
| --- | --- | --- |
| 22.3 | 1000 | 0 2 1 |
| 27.4 | 339 | 3 0 0 |
| 31.7 | 855 | 2 2 0 |
| 31.8 | 975 | 2 0 2 |
| 35.6 | 232 | 1 2 2 |
| 39.1 | 382 | 4 0 1 |
| 45.5 | 207 | 0 4 2 |
| 51.2 | 472 | 2 4 1 |
| 51.4 | 381 | 2 2 3 |
| 56.5 | 383 | 4 2 2 |

***

Entry 2:
Diffraction record for CsGa9Au5. The PXRD pattern is computed, not measured: it uses a GGA-PBE-relaxed structure and Cu Ka.

Cell lengths 7.7555, 7.7555, 12.4393 Å; angles 90.00, 90.00, 120.00 degrees
Space group P6_3/mmc (No. 194)
Symmetry-distinct sites (fractional):
Cs  0.0000  0.0000  0.0000 [2 per cell]
Ga  0.0772  0.5386  0.0966 [12 per cell]
Ga  0.1952  0.3904  0.7500 [6 per cell]
Au  0.1899  0.3798  0.2500 [6 per cell]
Au  0.3333  0.6667  0.5843 [4 per cell]

The 10 most intense peaks (15° ≤ 2θ ≤ 90°), in order of rising 2θ:
| Position (°2θ) | I/Imax | index |
| --- | --- | --- |
| 25.2 | 476 | 1 0 3 |
| 27.1 | 882 | 1 1 2 |
| 27.5 | 701 | 2 0 1 |
| 30.2 | 717 | 2 0 2 |
| 38.3 | 421 | 2 1 2 |
| 41.7 | 775 | 2 1 3 |
| 42.9 | 329 | 3 0 2 |
| 43.7 | 341 | 0 0 6 |
| 46.1 | 1000 | 2 1 4 |
| 46.9 | 653 | 2 2 0 |

***

Entry 3:
Diffraction record for CsZr5. The PXRD pattern is computed, not measured: it uses a GGA-PBE-relaxed structure and Cu Ka.

Cell lengths 5.7312, 5.7312, 5.4261 Å; angles 90.00, 90.00, 120.00 degrees
Space group P-62m (No. 189)
Symmetry-distinct sites (fractional):
Cs  0.0000  0.0000  0.0000 [1 per cell]
Zr  0.0000  0.3720  0.5000 [3 per cell]
Zr  0.3333  0.6667  0.0000 [2 per cell]

The 10 most intense peaks (15° ≤ 2θ ≤ 90°), in order of rising 2θ:
| Position (°2θ) | I/Imax | index |
| --- | --- | --- |
| 24.3 | 55 | 1 0 1 |
| 31.2 | 238 | 1 1 0 |
| 33.0 | 284 | 0 0 2 |
| 35.4 | 1000 | 1 1 1 |
| 46.1 | 158 | 1 1 2 |
| 55.5 | 158 | 3 0 0 |
| 60.5 | 204 | 1 1 3 |
| 66.2 | 184 | 3 0 2 |
| 67.6 | 120 | 2 2 1 |
| 86.7 | 62 | 2 2 3 |

***

Entry 4:
Diffraction record for Ac3Ta2N6. The PXRD pattern is computed, not measured: it uses a GGA-PBE-relaxed structure and Cu Ka.

Cell lengths 4.1201, 4.1201, 20.9196 Å; angles 90.00, 90.00, 90.00 degrees
Space group I4/mmm (No. 139)
Symmetry-distinct sites (fractional):
Ac  0.0000  0.0000  0.0000 [2 per cell]
Ac  0.0000  0.0000  0.1807 [4 per cell]
Ta  0.0000  0.0000  0.3993 [4 per cell]
N  0.0000  0.0000  0.3054 [4 per cell]
N  0.0000  0.5000  0.0866 [8 per cell]

The 10 most intense peaks (15° ≤ 2θ ≤ 90°), in order of rising 2θ:
| Position (°2θ) | I/Imax | index |
| --- | --- | --- |
| 30.4 | 1000 | 1 0 5 |
| 30.7 | 578 | 1 1 0 |
| 44.0 | 268 | 2 0 0 |
| 54.0 | 130 | 1 1 10 |
| 54.4 | 410 | 2 1 5 |
| 63.4 | 93 | 2 0 10 |
| 63.9 | 88 | 2 2 0 |
| 72.4 | 89 | 3 0 5 |
| 72.6 | 105 | 3 1 0 |
| 88.8 | 111 | 3 2 5 |